# 1
Starting from a crystal structure in the Materials Project, relaxed with GGA-PBE, the powder X-ray diffraction pattern of TmAl3C3 was calculated for Cu Kα (λ = 1.5418 Å).
Intensities are scaled so that the largest is 1000.

Largest 10 diffraction maxima, in order of falling intensity, 5 to 70 degrees two-theta:
(0 0 2), 8.606 Å, 10.28 deg, I 1000; (1 0 2), 2.796 Å, 32.01 deg, I 887; (1 0 4), 2.437 Å, 36.88 deg, I 591; (1 0 6), 2.059 Å, 43.98 deg, I 382; (0 0 4), 4.303 Å, 20.64 deg, I 238; (1 1 0), 1.707 Å, 53.69 deg, I 226; (1 0 0), 2.957 Å, 30.23 deg, I 181; (1 0 10), 1.488 Å, 62.43 deg, I 140; (0 0 8), 2.152 Å, 41.99 deg, I 130; (2 0 2), 1.457 Å, 63.89 deg, I 122

Cell and atoms:
a = 3.4142 Å, b = 3.4142 Å, c = 17.2129 Å
α = 90.00°, β = 90.00°, γ = 120.00°
Space group P6_3/mmc (No. 194)
One atom of each set of equivalent atoms:
Tm  0.0000  0.0000  0.0000 x2
Al  0.3333  0.6667  0.1325 x4
Al  0.3333  0.6667  0.7500 x2
C  0.3333  0.6667  0.2500 x2
C  0.3333  0.6667  0.5911 x4



# 2
Starting from a crystal structure in the Materials Project, relaxed with GGA-PBE, the powder X-ray diffraction pattern of PbSe was calculated for Cu Kα (λ = 1.5418 Å).
Intensities are scaled so that the largest is 1000.

Largest 8 diffraction maxima, in order of falling intensity, 5 to 70 degrees two-theta:
(2 0 0), 3.112 Å, 28.69 deg, I 1000; (2 2 0), 2.200 Å, 41.02 deg, I 774; (4 2 0), 1.392 Å, 67.28 deg, I 365; (1 1 1), 3.593 Å, 24.78 deg, I 355; (2 2 2), 1.796 Å, 50.82 deg, I 279; (3 1 1), 1.876 Å, 48.52 deg, I 193; (4 0 0), 1.556 Å, 59.41 deg, I 132; (3 3 1), 1.428 Å, 65.36 deg, I 83

Cell and atoms:
a = 6.2232 Å, b = 6.2232 Å, c = 6.2232 Å
α = 90.00°, β = 90.00°, γ = 90.00°
Space group Fm-3m (No. 225)
One atom of each set of equivalent atoms:
Pb  0.0000  0.0000  0.0000 x4
Se  0.0000  0.0000  0.5000 x4



# 3
Starting from a crystal structure in the Materials Project, relaxed with GGA-PBE, the powder X-ray diffraction pattern of CsMg14Ni was calculated for Cu Kα (λ = 1.5418 Å).
Intensities are scaled so that the largest is 1000.

Largest 10 diffraction maxima, in order of falling intensity, 5 to 70 degrees two-theta:
(2 2 2), 2.458 Å, 36.55 deg, I 1000; (1 0 0), 10.713 Å, 8.25 deg, I 841; (2 0 4), 2.543 Å, 35.29 deg, I 661; (4 0 0), 2.679 Å, 33.45 deg, I 607; (0 2 2), 2.767 Å, 32.35 deg, I 461; (1 0 2), 5.087 Å, 17.43 deg, I 307; (4 2 2), 1.925 Å, 47.23 deg, I 289; (0 2 0), 3.145 Å, 28.38 deg, I 237; (2 0 0), 5.357 Å, 16.55 deg, I 232; (0 0 2), 5.779 Å, 15.33 deg, I 202

Cell and atoms:
a = 10.7135 Å, b = 6.3038 Å, c = 11.5589 Å
α = 90.00°, β = 90.00°, γ = 90.00°
Space group Amm2 (No. 38)
One atom of each set of equivalent atoms:
Cs  0.0000  0.0000  0.0000 x2
Mg  0.0000  0.2458  0.2498 x4
Mg  0.2127  0.0000  0.6136 x4
Mg  0.2591  0.2429  0.3727 x8
Mg  0.2802  0.0000  0.1326 x4
Mg  0.5000  0.0000  0.4685 x2
Mg  0.5000  0.0000  0.9595 x2
Mg  0.5000  0.2424  0.7154 x4
Ni  0.0000  0.0000  0.4371 x2



# 4
Starting from a crystal structure in the Materials Project, relaxed with GGA-PBE, the powder X-ray diffraction pattern of Mg14MoC was calculated for Cu Kα (λ = 1.5418 Å).
Intensities are scaled so that the largest is 1000.

Largest 10 diffraction maxima, in order of falling intensity, 5 to 70 degrees two-theta:
(2 2 2), 2.503 Å, 35.88 deg, I 1000; (1 0 0), 9.041 Å, 9.78 deg, I 491; (2 1 3), 2.515 Å, 35.71 deg, I 407; (1 1 1), 5.006 Å, 17.72 deg, I 242; (0 1 1), 6.011 Å, 14.74 deg, I 229; (0 0 4), 2.476 Å, 36.28 deg, I 199; (0 3 1), 2.443 Å, 36.79 deg, I 184; (1 3 1), 2.358 Å, 38.17 deg, I 179; (4 0 0), 2.260 Å, 39.88 deg, I 162; (3 1 1), 2.694 Å, 33.26 deg, I 161

Cell and atoms:
a = 9.0413 Å, b = 7.5620 Å, c = 9.9056 Å
α = 90.00°, β = 90.00°, γ = 90.00°
Space group Amm2 (No. 38)
One atom of each set of equivalent atoms:
Mg  0.0000  0.0000  0.0000 x2
Mg  0.0000  0.0000  0.4580 x2
Mg  0.0000  0.2105  0.7267 x4
Mg  0.2414  0.0000  0.2476 x4
Mg  0.2741  0.0000  0.6375 x4
Mg  0.3182  0.1905  0.9341 x8
Mg  0.5000  0.2088  0.1778 x4
Mo  0.5000  0.0000  0.4408 x2
C  0.5000  0.0000  0.0037 x2



# 5
Starting from a crystal structure in the Materials Project, relaxed with GGA-PBE, the powder X-ray diffraction pattern of Ge6Bi3N11 was calculated for Cu Kα (λ = 1.5418 Å).
Intensities are scaled so that the largest is 1000.

Largest 10 diffraction maxima, in order of falling intensity, 5 to 70 degrees two-theta:
(3 1 1), 2.829 Å, 31.63 deg, I 1000; (2 2 1), 3.052 Å, 29.26 deg, I 781; (0 0 1), 5.204 Å, 17.04 deg, I 543; (4 1 0), 2.585 Å, 34.71 deg, I 542; (2 1 1), 3.515 Å, 25.34 deg, I 484; (3 2 1), 2.570 Å, 34.91 deg, I 429; (4 1 2), 1.834 Å, 49.72 deg, I 363; (0 0 2), 2.602 Å, 34.47 deg, I 307; (3 1 0), 3.370 Å, 26.45 deg, I 265; (5 3 2), 1.496 Å, 62.05 deg, I 260

Cell and atoms:
a = 10.6566 Å, b = 10.6566 Å, c = 5.2044 Å
α = 90.00°, β = 90.00°, γ = 90.00°
Space group P4bm (No. 100)
One atom of each set of equivalent atoms:
Ge  0.0822  0.2061  0.0000 x8
Ge  0.1169  0.3831  0.5244 x4
Bi  0.0000  0.0000  0.4390 x2
Bi  0.1881  0.6881  0.4234 x4
N  0.0000  0.5000  0.4547 x2
N  0.0741  0.8229  0.1445 x8
N  0.0781  0.2240  0.6511 x8
N  0.1681  0.3319  0.1862 x4